(1)
For Mg6NbV, the GGA-PBE geometry in the Materials Project gives the computed powder diffractogram in this record (Cu Kα X-rays).

Peak list (10 most intense, 2θ from 10° to 90°, by angle)
index  two_theta  I/Imax
0 0 2  16.3  35
1 0 0  17.7  24
1 0 2  24.2  19
0 2 2  34.0  36
2 0 0  35.9  41
1 0 4  37.6  57
1 2 2  38.6  100
2 2 2  50.3  22
3 2 2  66.3  19
2 2 6  71.5  19

Atomic structure:
```
data_Mg6NbV
_chemical_formula_sum 'Mg12 Nb2 V2'
_space_group_name_H-M_alt 'A m m 2'
_space_group_IT_number 38
_cell_length_a 5.0066
_cell_length_b 6.0186
_cell_length_c 10.8791
_cell_angle_alpha 90.00
_cell_angle_beta 90.00
_cell_angle_gamma 90.00
loop_
_space_group_symop_operation_xyz
'x,y,z'
'-x,-y,z'
'-x,y,z'
'x,-y,z'
'x,y+1/2,z+1/2'
'-x,-y+1/2,z+1/2'
'-x,y+1/2,z+1/2'
'x,-y+1/2,z+1/2'
loop_
_atom_site_label
_atom_site_fract_x
_atom_site_fract_y
_atom_site_fract_z
Mg1 0.0000 0.0000 0.0000
Mg2 0.0000 0.0000 0.4994
Mg3 0.0000 0.2485 0.2640
Mg4 0.5000 0.2481 0.5939
Nb1 0.5000 0.0000 0.3433
V1 0.5000 0.0000 0.8425
```

***

(2)
For PdCl2, the GGA-PBE geometry in the Materials Project gives the computed powder diffractogram in this record (Cu Kα X-rays).

Peak list (10 most intense, 2θ from 10° to 90°, by angle)
index  two_theta  I/Imax
1 1 0  15.8  100
1 1 1  16.8  52
1 0 -1  17.1  20
0 1 -2  20.6  45
1 2 -1  24.7  29
1 3 1  29.8  14
1 1 -3  31.8  12
0 0 4  33.9  16
1 -3 0  35.2  19
2 -2 0  38.3  20

Atomic structure:
```
data_PdCl2
_chemical_formula_sum 'Pd6 Cl12'
_space_group_name_H-M_alt 'P -1'
_space_group_IT_number 2
_cell_length_a 6.2586
_cell_length_b 9.4733
_cell_length_c 10.7163
_cell_angle_alpha 80.77
_cell_angle_beta 85.43
_cell_angle_gamma 78.45
loop_
_space_group_symop_operation_xyz
'x,y,z'
'-x,-y,-z'
loop_
_atom_site_label
_atom_site_fract_x
_atom_site_fract_y
_atom_site_fract_z
Pd1 0.0622 0.3212 0.1971
Pd2 0.1662 0.3709 0.7097
Pd3 0.4065 0.1433 0.9894
Cl1 0.0095 0.2317 0.0144
Cl2 0.1063 0.0133 0.5598
Cl3 0.1264 0.4416 0.3605
Cl4 0.2952 0.5539 0.7896
Cl5 0.4018 0.1672 0.2037
Cl6 0.4465 0.1811 0.7711
```

***

(3)
For CaAcTl2, the GGA-PBE geometry in the Materials Project gives the computed powder diffractogram in this record (Cu Kα X-rays).

Peak list (10 most intense, 2θ from 10° to 90°, by angle)
index  two_theta  I/Imax
1 1 1  19.0  16
2 0 0  22.0  5
2 2 0  31.2  100
3 1 1  36.8  9
4 0 0  44.8  19
3 3 1  49.0  4
4 2 2  55.6  40
4 4 0  65.2  12
6 2 0  74.1  17
4 4 4  82.6  4

Atomic structure:
```
data_CaAcTl2
_chemical_formula_sum 'Ca4 Ac4 Tl8'
_space_group_name_H-M_alt 'F m -3 m'
_space_group_IT_number 225
_space_group_name_Hall '-F 4 2 3'
_cell_length_a 8.0960
_cell_length_b 8.0960
_cell_length_c 8.0960
_cell_angle_alpha 90.00
_cell_angle_beta 90.00
_cell_angle_gamma 90.00
loop_
_atom_site_label
_atom_site_fract_x
_atom_site_fract_y
_atom_site_fract_z
Ca1 0.0000 0.0000 0.0000
Ac1 0.0000 0.0000 0.5000
Tl1 0.2500 0.2500 0.2500
```

***

(4)
For Na3V5Se10, the GGA-PBE geometry in the Materials Project gives the computed powder diffractogram in this record (Cu Kα X-rays).

Peak list (10 most intense, 2θ from 10° to 90°, by angle)
index  two_theta  I/Imax
0 1 -1  12.1  100
2 -1 0  29.1  20
1 0 2  29.9  41
1 0 -3  33.3  17
1 -3 0  35.2  47
2 1 -2  35.3  43
1 -1 3  35.6  46
0 2 3  50.7  17
3 0 1  50.7  16
-3 2 2  51.1  28

Atomic structure:
```
data_Na3V5Se10
_chemical_formula_sum 'Na3 V5 Se10'
_space_group_name_H-M_alt 'P 1'
_space_group_IT_number 1
_cell_length_a 6.2004
_cell_length_b 8.4691
_cell_length_c 9.0853
_cell_angle_alpha 114.54
_cell_angle_beta 96.60
_cell_angle_gamma 103.50
loop_
_space_group_symop_operation_xyz
'x,y,z'
loop_
_atom_site_label
_atom_site_fract_x
_atom_site_fract_y
_atom_site_fract_z
Na1 0.0000 0.0000 0.0000
Na2 0.1611 0.3890 0.3925
Na3 0.3908 0.7786 0.7932
V1 0.1710 0.0783 0.5852
V2 0.3733 0.4924 0.9974
V3 0.5429 0.9089 0.4068
V4 0.7074 0.2744 0.7802
V5 0.9067 0.6987 0.2048
Se1 0.0979 0.3921 0.7164
Se2 0.1820 0.7638 0.4750
Se3 0.2903 0.8004 0.1192
Se4 0.3817 0.1636 0.8825
Se5 0.5022 0.2197 0.4998
Se6 0.5742 0.5728 0.2889
Se7 0.7080 0.6108 0.9054
Se8 0.7950 0.9753 0.6763
Se9 0.8964 0.0167 0.3152
Se10 0.9817 0.3854 0.0671
```

***

(5)
For MgGe5, the GGA-PBE geometry in the Materials Project gives the computed powder diffractogram in this record (Cu Kα X-rays).

Peak list (10 most intense, 2θ from 10° to 90°, by angle)
index  two_theta  I/Imax
0 0 6  34.6  16
0 1 3  34.9  19
2 0 0  35.9  41
1 0 6  39.2  42
1 1 3  39.4  100
2 1 3  50.9  13
0 1 9  62.3  15
3 1 3  66.8  20
2 1 9  74.0  18
1 2 6  76.5  11

Atomic structure:
```
data_MgGe5
_chemical_formula_sum 'Mg2 Ge10'
_space_group_name_H-M_alt 'A m m 2'
_space_group_IT_number 38
_cell_length_a 5.0073
_cell_length_b 2.9617
_cell_length_c 15.5347
_cell_angle_alpha 90.00
_cell_angle_beta 90.00
_cell_angle_gamma 90.00
loop_
_space_group_symop_operation_xyz
'x,y,z'
'-x,-y,z'
'-x,y,z'
'x,-y,z'
'x,y+1/2,z+1/2'
'-x,-y+1/2,z+1/2'
'-x,y+1/2,z+1/2'
'x,-y+1/2,z+1/2'
loop_
_atom_site_label
_atom_site_fract_x
_atom_site_fract_y
_atom_site_fract_z
Mg1 0.0000 0.0000 0.0000
Ge1 0.0000 0.0000 0.3319
Ge2 0.0000 0.0000 0.6657
Ge3 0.5000 0.0000 0.1161
Ge4 0.5000 0.0000 0.4492
Ge5 0.5000 0.0000 0.7807
```

***

(6)
For RbCr2S4, the GGA-PBE geometry in the Materials Project gives the computed powder diffractogram in this record (Cu Kα X-rays).

Peak list (10 most intense, 2θ from 10° to 90°, by angle)
index  two_theta  I/Imax
0 0 3  21.8  100
1 -2 0  24.7  24
1 2 2  26.5  60
2 0 0  26.9  33
2 0 -1  28.2  25
1 2 -2  30.8  28
-1 2 3  31.1  18
2 0 3  34.1  17
1 2 5  41.0  24
0 4 1  41.4  21

Atomic structure:
```
data_RbCr2S4
_chemical_formula_sum 'Rb4 Cr8 S16'
_space_group_name_H-M_alt 'P -1'
_space_group_IT_number 2
_cell_length_a 6.6309
_cell_length_b 8.7307
_cell_length_c 12.4258
_cell_angle_alpha 80.18
_cell_angle_beta 87.40
_cell_angle_gamma 89.62
loop_
_space_group_symop_operation_xyz
'x,y,z'
'-x,-y,-z'
loop_
_atom_site_label
_atom_site_fract_x
_atom_site_fract_y
_atom_site_fract_z
Rb1 0.1495 0.2061 0.1715
Rb2 0.2512 0.3713 0.5106
Cr1 0.1639 0.7180 0.2035
Cr2 0.2904 0.8773 0.5016
Cr3 0.3504 0.5536 0.8050
Cr4 0.3670 0.0512 0.8001
S1 0.0484 0.0781 0.4298
S2 0.1795 0.2890 0.8347
S3 0.1872 0.7153 0.3756
S4 0.3218 0.6518 0.6309
S5 0.3247 0.7883 0.8632
S6 0.3365 0.5303 0.1498
S7 0.3456 0.9077 0.1165
S8 0.4317 0.0383 0.6167
```

***

(7)
For Er2MnS4, the GGA-PBE geometry in the Materials Project gives the computed powder diffractogram in this record (Cu Kα X-rays).

Peak list (10 most intense, 2θ from 10° to 90°, by angle)
index  two_theta  I/Imax
0 2 1  16.0  47
0 2 3  25.4  100
1 1 1  25.8  42
1 1 2  28.5  42
0 4 0  29.0  24
1 3 1  33.1  55
1 3 2  35.3  70
1 1 5  43.5  39
2 0 0  48.5  37
0 6 3  49.3  26

Atomic structure:
```
data_Er2MnS4
_chemical_formula_sum 'Er8 Mn4 S16'
_space_group_name_H-M_alt 'C m c 21'
_space_group_IT_number 36
_cell_length_a 3.7573
_cell_length_b 12.3005
_cell_length_c 12.7740
_cell_angle_alpha 90.00
_cell_angle_beta 90.00
_cell_angle_gamma 90.00
loop_
_space_group_symop_operation_xyz
'x,y,z'
'-x,-y,z+1/2'
'-x,y,z'
'x,-y,z+1/2'
'x+1/2,y+1/2,z'
'-x+1/2,-y+1/2,z+1/2'
'-x+1/2,y+1/2,z'
'x+1/2,-y+1/2,z+1/2'
loop_
_atom_site_label
_atom_site_fract_x
_atom_site_fract_y
_atom_site_fract_z
Er1 0.0000 0.1188 0.0000
Er2 0.0000 0.3623 0.2024
Mn1 0.0000 0.3739 0.8387
S1 0.0000 0.0104 0.7877
S2 0.0000 0.2616 0.3889
S3 0.0000 0.2898 0.6488
S4 0.0000 0.4623 0.0154
```

***

(8)
For Eu2MgS4, the GGA-PBE geometry in the Materials Project gives the computed powder diffractogram in this record (Cu Kα X-rays).

Peak list (10 most intense, 2θ from 10° to 90°, by angle)
index  two_theta  I/Imax
1 0 2  14.8  73
2 0 3  24.0  86
2 1 0  26.2  100
4 0 0  27.0  34
0 1 3  30.1  30
3 1 1  31.1  30
3 1 2  33.2  53
4 1 3  40.9  56
0 2 0  45.9  50
1 1 6  47.1  32

Atomic structure:
```
data_Eu2MgS4
_chemical_formula_sum 'Eu8 Mg4 S16'
_space_group_name_H-M_alt 'P n m a'
_space_group_IT_number 62
_cell_length_a 13.2239
_cell_length_b 3.9593
_cell_length_c 13.4421
_cell_angle_alpha 90.00
_cell_angle_beta 90.00
_cell_angle_gamma 90.00
loop_
_space_group_symop_operation_xyz
'x,y,z'
'-x,-y,-z'
'-x+1/2,-y,z+1/2'
'x+1/2,y,-z+1/2'
'x+1/2,-y+1/2,-z+1/2'
'-x+1/2,y+1/2,z+1/2'
'-x,y+1/2,-z'
'x,-y+1/2,z'
loop_
_atom_site_label
_atom_site_fract_x
_atom_site_fract_y
_atom_site_fract_z
Eu1 0.1215 0.2500 0.0734
Eu2 0.1320 0.2500 0.7076
Mg1 0.1081 0.7500 0.4591
S1 0.0054 0.7500 0.6152
S2 0.0232 0.2500 0.8874
S3 0.2292 0.2500 0.2516
S4 0.2313 0.2500 0.5127
```

***

(9)
For Ca4TeN4, the GGA-PBE geometry in the Materials Project gives the computed powder diffractogram in this record (Cu Kα X-rays).

Peak list (10 most intense, 2θ from 10° to 90°, by angle)
index  two_theta  I/Imax
0 0 4  22.1  42
2 0 3  22.3  45
1 1 1  26.4  38
1 0 5  28.7  42
0 1 3  29.8  42
4 0 0  30.1  39
2 1 2  31.0  100
0 0 6  33.5  51
2 1 4  36.7  37
2 1 6  44.7  41

Atomic structure:
```
data_Ca4TeN4
_chemical_formula_sum 'Ca16 Te4 N16'
_space_group_name_H-M_alt 'P n m a'
_space_group_IT_number 62
_cell_length_a 11.8894
_cell_length_b 3.6141
_cell_length_c 16.0959
_cell_angle_alpha 90.00
_cell_angle_beta 90.00
_cell_angle_gamma 90.00
loop_
_space_group_symop_operation_xyz
'x,y,z'
'-x,-y,-z'
'-x+1/2,-y,z+1/2'
'x+1/2,y,-z+1/2'
'x+1/2,-y+1/2,-z+1/2'
'-x+1/2,y+1/2,z+1/2'
'-x,y+1/2,-z'
'x,-y+1/2,z'
loop_
_atom_site_label
_atom_site_fract_x
_atom_site_fract_y
_atom_site_fract_z
Ca1 0.0885 0.2500 0.1090
Ca2 0.0919 0.7500 0.3312
Ca3 0.1222 0.2500 0.5450
Ca4 0.1902 0.7500 0.7283
Te1 0.1469 0.2500 0.9035
N1 0.0271 0.2500 0.4222
N2 0.0459 0.7500 0.6403
N3 0.1662 0.7500 0.2053
N4 0.2248 0.7500 0.1327
```

***

(10)
For Li3GeO4, the GGA-PBE geometry in the Materials Project gives the computed powder diffractogram in this record (Cu Kα X-rays).

Peak list (10 most intense, 2θ from 10° to 90°, by angle)
index  two_theta  I/Imax
2 0 0  16.0  29
2 1 0  21.2  100
0 1 1  22.2  91
2 0 1  23.6  75
2 1 1  27.5  23
0 2 0  27.9  27
4 0 0  32.3  67
3 1 1  33.0  30
0 0 2  35.0  36
6 2 0  57.5  27

Atomic structure:
```
data_Li3GeO4
_chemical_formula_sum 'Li12 Ge4 O16'
_space_group_name_H-M_alt 'P n m a'
_space_group_IT_number 62
_cell_length_a 11.1114
_cell_length_b 6.3925
_cell_length_c 5.1316
_cell_angle_alpha 90.00
_cell_angle_beta 90.00
_cell_angle_gamma 90.00
loop_
_space_group_symop_operation_xyz
'x,y,z'
'-x,-y,-z'
'-x+1/2,-y,z+1/2'
'x+1/2,y,-z+1/2'
'x+1/2,-y+1/2,-z+1/2'
'-x+1/2,y+1/2,z+1/2'
'-x,y+1/2,-z'
'x,-y+1/2,z'
loop_
_atom_site_label
_atom_site_fract_x
_atom_site_fract_y
_atom_site_fract_z
Li1 0.0779 0.2500 0.1877
Li2 0.1672 0.5029 0.8104
Ge1 0.0855 0.7500 0.3200
O1 0.0659 0.2500 0.7918
O2 0.0861 0.7500 0.6639
O3 0.1627 0.5216 0.2111
```

***

(11)
For Rb3Pd, the GGA-PBE geometry in the Materials Project gives the computed powder diffractogram in this record (Cu Kα X-rays).

Peak list (10 most intense, 2θ from 10° to 90°, by angle)
index  two_theta  I/Imax
1 0 3  23.2  24
3 0 1  24.0  26
2 2 2  26.1  100
2 1 3  27.8  31
3 2 1  28.5  18
4 0 0  30.6  40
2 2 4  36.7  22
4 4 0  43.9  22
5 2 3  47.6  15
4 0 6  55.1  13

Atomic structure:
```
data_Rb3Pd
_chemical_formula_sum 'Rb24 Pd8'
_space_group_name_H-M_alt 'I 4/m m m'
_space_group_IT_number 139
_space_group_name_Hall '-I 4 2'
_cell_length_a 11.6680
_cell_length_b 11.6680
_cell_length_c 12.1885
_cell_angle_alpha 90.00
_cell_angle_beta 90.00
_cell_angle_gamma 90.00
loop_
_atom_site_label
_atom_site_fract_x
_atom_site_fract_y
_atom_site_fract_z
Rb1 0.0000 0.2586 0.1782
Rb2 0.1914 0.1914 0.5000
Pd1 0.0000 0.0000 0.0000
Pd2 0.0000 0.0000 0.5000
Pd3 0.0000 0.5000 0.0000
```